Entry 1:
For TbDy3Ga2, a crystal structure in Alexandria, relaxed with GGA-PBE gives the theoretical X-ray diffraction stick pattern in this record (Cu Kα X-rays).

Largest 12 diffraction maxima, in order of rising 2θ, 5° ≤ 2θ ≤ 70°:
29.4°, I = 48.6, hkl 1 2 1
31.4°, I = 27.2, hkl 0 3 1
32.7°, I = 58.6, hkl 1 0 2
33.2°, I = 37.0, hkl 0 2 2
33.7°, I = 100.0, hkl 1 3 0
34.1°, I = 92.9, hkl 1 1 2
36.2°, I = 63.6, hkl 2 0 0
39.6°, I = 25.3, hkl 0 3 2
49.9°, I = 23.5, hkl 2 2 2
56.9°, I = 20.0, hkl 0 1 4
60.5°, I = 24.6, hkl 1 4 3
63.4°, I = 23.3, hkl 1 6 1

Crystal structure
abc: 4.958 9.468 6.578
angles: 90.00 90.00 90.00
Space group Pmc2_1 (No. 26)
Asymmetric unit:
Tb: 0.000 0.049 0.000 (multiplicity 2)
Dy: 0.000 0.322 0.640 (multiplicity 2)
Dy: 0.500 0.180 0.292 (multiplicity 2)
Dy: 0.500 0.450 0.932 (multiplicity 2)
Ga: 0.000 0.359 0.175 (multiplicity 2)
Ga: 0.500 0.142 0.756 (multiplicity 2)

Entry 2:
For Tb2DyGa9, a crystal structure in Alexandria, relaxed with GGA-PBE gives the theoretical X-ray diffraction stick pattern in this record (Cu Kα X-rays).

Largest 9 diffraction maxima, in order of rising 2θ, 5° ≤ 2θ ≤ 70°:
20.8°, I = 15.3, hkl 1 0 0
29.5°, I = 12.9, hkl 1 1 0
36.4°, I = 100.0, hkl 1 1 3
42.2°, I = 49.2, hkl 2 0 0
47.5°, I = 7.2, hkl 2 1 0
52.4°, I = 5.5, hkl 2 1 3
61.3°, I = 32.1, hkl 2 2 0
65.4°, I = 3.6, hkl 3 0 0
69.4°, I = 2.4, hkl 3 1 0

Crystal structure
abc: 4.280 4.280 12.839
angles: 90.00 90.00 90.00
Space group P4/mmm (No. 123)
Asymmetric unit:
Tb: 0.000 0.000 0.167 (multiplicity 2)
Dy: 0.000 0.000 0.500 (multiplicity 1)
Ga: 0.000 0.500 0.000 (multiplicity 2)
Ga: 0.000 0.500 0.334 (multiplicity 4)
Ga: 0.500 0.500 0.167 (multiplicity 2)
Ga: 0.500 0.500 0.500 (multiplicity 1)